Theoretical powder diffractogram of SrV3O11 for Cu Ka, from a cell relaxed with PBE+U.
Intensities are scaled so that the largest is 100.

Structure:
```
data_SrV3O11
_chemical_formula_sum 'Sr2 V6 O22'
_cell_length_a 5.243
_cell_length_b 11.186
_cell_length_c 9.062
_cell_angle_alpha 90.00
_cell_angle_beta 102.82
_cell_angle_gamma 90.00
_space_group_name_H-M_alt 'P 1 21/m 1'
_space_group_IT_number 11
_space_group_name_Hall '-P 2yb'
loop_
_atom_site_label
_atom_site_type_symbol
_atom_site_fract_x
_atom_site_fract_y
_atom_site_fract_z
Sr1 Sr 0.154 0.250 0.234
V1 V 0.259 0.750 0.532
V2 V 0.275 0.025 0.566
O1 O 0.019 0.603 0.553
O2 O 0.120 0.651 0.020
O3 O 0.187 0.750 0.340
O4 O 0.222 0.750 0.086
O5 O 0.338 0.078 0.734
O6 O 0.348 0.750 0.740
O7 O 0.481 0.103 0.449
```

Most intense lines, 2θ from 10° to 90°, by angle:
- 2θ 10.01, rel. 100, (0 0 1)
- 2θ 12.77, rel. 24, (0 1 1)
- 2θ 18.78, rel. 12, (0 2 1)
- 2θ 23.55, rel. 12, (1 0 -2)
- 2θ 24.08, rel. 15, (1 2 -1)
- 2θ 24.84, rel. 15, (1 1 -2)
- 2θ 25.94, rel. 12, (0 3 1)
- 2θ 27.18, rel. 11, (1 2 1)
- 2θ 44.08, rel. 12, (2 3 -2)
- 2θ 47.61, rel. 9, (2 4 -1)